No. 1
# KTbEuGeO6
Simulated powder XRD pattern, Cu Kα (λ = 1.5418 Å). Input: a structure optimized by DFT (PBE).

Main lines, by angle (2θ = 10–90°):
2θ = 18.68°, intensity 24; 2θ = 30.74°, intensity 100; 2θ = 36.22°, intensity 17; 2θ = 44.03°, intensity 32; 2θ = 48.22°, intensity 9; 2θ = 54.66°, intensity 39; 2θ = 58.28°, intensity 5; 2θ = 64.03°, intensity 19; 2θ = 67.34°, intensity 5; 2θ = 72.70°, intensity 18; 2θ = 80.98°, intensity 6; 2θ = 89.07°, intensity 21

Cell and atoms:
Lattice parameters (Å, degrees): 8.226 8.226 8.226 90.00 90.00 90.00
Space group F-43m (No. 216)
Inequivalent atoms, fractional coordinates:
K  0.000  0.000  0.000 (multiplicity 4)
Tb  0.250  0.250  0.750 (multiplicity 4)
Eu  0.000  0.000  0.500 (multiplicity 4)
Ge  0.250  0.250  0.250 (multiplicity 4)
O  0.020  0.250  0.250 (multiplicity 24)


No. 2
# CaSi
Simulated powder XRD pattern, Cu Kα (λ = 1.5418 Å). Input: a structure optimized by DFT (PBE).

Main lines, by angle (2θ = 10–90°):
2θ = 12.02°, intensity 54; 2θ = 26.23°, intensity 41; 2θ = 29.07°, intensity 22; 2θ = 30.47°, intensity 99; 2θ = 31.45°, intensity 22; 2θ = 33.78°, intensity 68; 2θ = 34.44°, intensity 100; 2θ = 34.88°, intensity 20; 2θ = 38.66°, intensity 39; 2θ = 43.81°, intensity 30; 2θ = 47.49°, intensity 34; 2θ = 57.48°, intensity 28

Cell and atoms:
Lattice parameters (Å, degrees): 14.726 3.829 10.980 90.00 90.00 90.00
Space group Pnma (No. 62)
Inequivalent atoms, fractional coordinates:
Ca  0.111  0.250  0.018 (multiplicity 4)
Ca  0.150  0.250  0.643 (multiplicity 4)
Ca  0.178  0.250  0.336 (multiplicity 4)
Si  0.034  0.750  0.236 (multiplicity 4)
Si  0.043  0.750  0.468 (multiplicity 4)
Si  0.058  0.750  0.817 (multiplicity 4)


No. 3
# Te2Mo3WSe6
Simulated powder XRD pattern, Cu Kα (λ = 1.5418 Å). Input: a structure optimized by DFT (PBE).

Main lines, by angle (2θ = 10–90°):
2θ = 11.51°, intensity 100; 2θ = 13.83°, intensity 20; 2θ = 30.55°, intensity 50; 2θ = 32.73°, intensity 14; 2θ = 35.92°, intensity 86; 2θ = 43.50°, intensity 57; 2θ = 45.28°, intensity 21; 2θ = 54.27°, intensity 34; 2θ = 55.67°, intensity 11; 2θ = 66.80°, intensity 14; 2θ = 71.98°, intensity 13; 2θ = 76.75°, intensity 16

Cell and atoms:
Lattice parameters (Å, degrees): 3.3810 3.3810 38.4296 90.00 90.00 120.00
Space group P3m1 (No. 156)
Inequivalent atoms, fractional coordinates:
Te  0.0000  0.0000  0.0000 (multiplicity 1)
Te  0.0000  0.0000  0.0978 (multiplicity 1)
Mo  0.0000  0.0000  0.4853 (multiplicity 1)
Mo  0.0000  0.0000  0.8610 (multiplicity 1)
Mo  0.3333  0.6667  0.0489 (multiplicity 1)
W  0.3333  0.6667  0.6731 (multiplicity 1)
Se  0.0000  0.0000  0.6299 (multiplicity 1)
Se  0.0000  0.0000  0.7164 (multiplicity 1)
Se  0.3333  0.6667  0.4422 (multiplicity 1)
Se  0.3333  0.6667  0.5283 (multiplicity 1)
Se  0.3333  0.6667  0.8179 (multiplicity 1)
Se  0.3333  0.6667  0.9041 (multiplicity 1)


No. 4
# TbRu2
Simulated powder XRD pattern, Cu Kα (λ = 1.5418 Å). Input: a structure optimized by DFT (PBE).

Main lines, by angle (2θ = 10–90°):
2θ = 33.98°, intensity 43; 2θ = 35.80°, intensity 95; 2θ = 39.44°, intensity 13; 2θ = 39.59°, intensity 100; 2θ = 40.06°, intensity 14; 2θ = 40.74°, intensity 75; 2θ = 61.99°, intensity 35; 2θ = 64.59°, intensity 23; 2θ = 66.07°, intensity 32; 2θ = 71.52°, intensity 26; 2θ = 75.86°, intensity 12; 2θ = 82.64°, intensity 17

Cell and atoms:
Lattice parameters (Å, degrees): 5.2769 5.2769 9.0026 90.00 90.00 120.00
Space group P6_3/mmc (No. 194)
Inequivalent atoms, fractional coordinates:
Tb  0.3333  0.6667  0.0663 (multiplicity 4)
Ru  0.0000  0.0000  0.0000 (multiplicity 2)
Ru  0.1712  0.3423  0.7500 (multiplicity 6)


No. 5
# Cs6MoN4
Simulated powder XRD pattern, Cu Kα (λ = 1.5418 Å). Input: a structure optimized by DFT (PBE).

Main lines, by angle (2θ = 10–90°):
2θ = 24.94°, intensity 34; 2θ = 26.44°, intensity 53; 2θ = 28.26°, intensity 82; 2θ = 30.05°, intensity 100; 2θ = 32.09°, intensity 42; 2θ = 39.09°, intensity 19; 2θ = 40.40°, intensity 27; 2θ = 48.93°, intensity 22; 2θ = 51.16°, intensity 22; 2θ = 54.45°, intensity 29; 2θ = 56.69°, intensity 24; 2θ = 66.47°, intensity 19

Cell and atoms:
Lattice parameters (Å, degrees): 8.931 8.931 7.971 90.00 90.00 90.00
Space group P4_2/nmc (No. 137, origin choice 2)
Inequivalent atoms, fractional coordinates:
Cs  0.038  0.538  0.250 (multiplicity 8)
Cs  0.250  0.250  0.013 (multiplicity 4)
Mo  0.250  0.750  0.750 (multiplicity 2)
N  0.068  0.750  0.623 (multiplicity 8)


No. 6
# Sc2CdSe4
Simulated powder XRD pattern, Cu Kα (λ = 1.5418 Å). Input: a structure optimized by DFT (PBE).

Main lines, by angle (2θ = 10–90°):
2θ = 22.11°, intensity 39; 2θ = 25.98°, intensity 49; 2θ = 27.16°, intensity 53; 2θ = 31.46°, intensity 44; 2θ = 34.37°, intensity 13; 2θ = 38.79°, intensity 15; 2θ = 41.24°, intensity 40; 2θ = 45.09°, intensity 100; 2θ = 53.44°, intensity 20; 2θ = 65.67°, intensity 14; 2θ = 83.23°, intensity 27; 2θ = 89.04°, intensity 15

Cell and atoms:
Lattice parameters (Å, degrees): 11.374 11.374 11.374 90.00 90.00 90.00
Space group Fd-3m (No. 227, origin choice 2)
Inequivalent atoms, fractional coordinates:
Sc  0.000  0.000  0.000 (multiplicity 16)
Cd  0.125  0.125  0.625 (multiplicity 8)
Se  0.010  0.010  0.240 (multiplicity 32)


No. 7
# K3Nb3B2O12
Simulated powder XRD pattern, Cu Kα (λ = 1.5418 Å). Input: a structure optimized by DFT (PBE).

Main lines, by angle (2θ = 10–90°):
2θ = 11.46°, intensity 41; 2θ = 19.91°, intensity 77; 2θ = 22.04°, intensity 48; 2θ = 24.91°, intensity 25; 2θ = 29.87°, intensity 96; 2θ = 30.63°, intensity 100; 2θ = 32.09°, intensity 40; 2θ = 44.95°, intensity 29; 2θ = 47.07°, intensity 25; 2θ = 52.56°, intensity 27; 2θ = 55.38°, intensity 35; 2θ = 56.76°, intensity 29

Cell and atoms:
Lattice parameters (Å, degrees): 8.9168 8.9168 4.0329 90.00 90.00 120.00
Space group P31m (No. 157)
Inequivalent atoms, fractional coordinates:
K  0.0000  0.5966  0.0000 (multiplicity 3)
Nb  0.0000  0.2472  0.5218 (multiplicity 3)
B  0.3333  0.6667  0.4839 (multiplicity 2)
O  0.0000  0.2623  0.9831 (multiplicity 3)
O  0.0000  0.8209  0.4880 (multiplicity 3)
O  0.1881  0.5044  0.4834 (multiplicity 6)


No. 8
# Ce3Si8Ni2
Simulated powder XRD pattern, Cu Kα (λ = 1.5418 Å). Input: a structure optimized by DFT (PBE).

Main lines, by angle (2θ = 10–90°):
2θ = 20.48°, intensity 20; 2θ = 22.27°, intensity 30; 2θ = 24.04°, intensity 26; 2θ = 30.72°, intensity 53; 2θ = 32.54°, intensity 30; 2θ = 34.91°, intensity 70; 2θ = 35.16°, intensity 100; 2θ = 38.11°, intensity 24; 2θ = 43.14°, intensity 34; 2θ = 44.25°, intensity 38; 2θ = 57.57°, intensity 32; 2θ = 63.52°, intensity 25

Cell and atoms:
Lattice parameters (Å, degrees): 4.093 26.016 4.194 90.00 90.00 90.00
Space group Cmmm (No. 65)
Inequivalent atoms, fractional coordinates:
Ce  0.000  0.000  0.000 (multiplicity 2)
Ce  0.000  0.312  0.500 (multiplicity 4)
Si  0.000  0.097  0.500 (multiplicity 4)
Si  0.000  0.224  0.000 (multiplicity 4)
Si  0.000  0.405  0.000 (multiplicity 4)
Si  0.000  0.455  0.500 (multiplicity 4)
Ni  0.000  0.134  0.000 (multiplicity 4)


No. 9
# Ba2GdB2ClO6
Simulated powder XRD pattern, Cu Kα (λ = 1.5418 Å). Input: a structure optimized by DFT (PBE).

Main lines, by angle (2θ = 10–90°):
2θ = 21.42°, intensity 66; 2θ = 23.27°, intensity 30; 2θ = 25.82°, intensity 22; 2θ = 27.37°, intensity 15; 2θ = 27.76°, intensity 20; 2θ = 28.64°, intensity 100; 2θ = 29.31°, intensity 18; 2θ = 33.27°, intensity 32; 2θ = 34.59°, intensity 21; 2θ = 37.12°, intensity 17; 2θ = 42.58°, intensity 23; 2θ = 43.86°, intensity 15

Cell and atoms:
Lattice parameters (Å, degrees): 6.534 5.386 11.524 90.00 95.82 90.00
Space group P2_1/m (No. 11)
Inequivalent atoms, fractional coordinates:
Ba  0.098  0.250  0.208 (multiplicity 2)
Ba  0.338  0.250  0.573 (multiplicity 2)
Gd  0.342  0.250  0.911 (multiplicity 2)
B  0.213  0.750  0.076 (multiplicity 2)
B  0.372  0.750  0.722 (multiplicity 2)
Cl  0.152  0.750  0.417 (multiplicity 2)
O  0.013  0.750  0.098 (multiplicity 2)
O  0.285  0.529  0.758 (multiplicity 4)
O  0.326  0.531  0.067 (multiplicity 4)
O  0.477  0.250  0.353 (multiplicity 2)